# 1
Calculated X-ray powder pattern
Compound: KAl11O17
Radiation: Cu Kα (weighted mean of Kα1 and Kα2)
Structure: a crystal structure in the Materials Project, relaxed with GGA-PBE

Atomic structure:
```
KAl11O17
1.0
2.826 -4.896 0.000
2.826 4.896 0.000
0.000 0.000 22.961
K Al O
2 22 34
Direct
0.168 0.832 0.750 K
0.832 0.168 0.250 K
0.165 0.333 0.106 Al
0.165 0.333 0.394 Al
0.166 0.834 0.175 Al
0.166 0.834 0.325 Al
0.167 0.833 0.025 Al
0.167 0.833 0.475 Al
0.333 0.165 0.606 Al
0.333 0.165 0.894 Al
0.333 0.667 0.606 Al
0.333 0.667 0.894 Al
0.500 0.500 0.000 Al
0.500 0.500 0.500 Al
0.667 0.333 0.106 Al
0.667 0.333 0.394 Al
0.667 0.835 0.106 Al
0.667 0.835 0.394 Al
0.833 0.167 0.525 Al
0.833 0.167 0.975 Al
0.834 0.166 0.675 Al
0.834 0.166 0.825 Al
0.835 0.667 0.606 Al
0.835 0.667 0.894 Al
0.002 0.505 0.645 O
0.002 0.505 0.855 O
0.002 0.998 0.645 O
0.002 0.998 0.855 O
0.165 0.835 0.250 O
0.167 0.833 0.555 O
0.167 0.833 0.945 O
0.186 0.343 0.549 O
0.186 0.343 0.951 O
0.343 0.186 0.049 O
0.343 0.186 0.451 O
0.343 0.657 0.049 O
0.343 0.657 0.451 O
0.495 0.998 0.645 O
0.495 0.998 0.855 O
0.500 0.500 0.140 O
0.500 0.500 0.360 O
0.500 0.500 0.640 O
0.500 0.500 0.860 O
0.505 0.002 0.145 O
0.505 0.002 0.355 O
0.657 0.343 0.549 O
0.657 0.343 0.951 O
0.657 0.814 0.549 O
0.657 0.814 0.951 O
0.814 0.657 0.049 O
0.814 0.657 0.451 O
0.833 0.167 0.055 O
0.833 0.167 0.445 O
0.835 0.165 0.750 O
0.998 0.002 0.145 O
0.998 0.002 0.355 O
0.998 0.495 0.145 O
0.998 0.495 0.355 O
```

Top 12 peaks for 2θ from 5° to 70°, by angle:
2θ/deg, intensity
7.7, 100.0
15.4, 24.7
19.7, 22.6
31.7, 16.7
32.9, 37.8
35.4, 29.3
41.8, 18.4
43.9, 18.5
57.2, 16.0
58.1, 11.5
66.1, 28.8
68.9, 13.6

=====

# 2
Calculated X-ray powder pattern
Compound: Y4Fe34C3
Radiation: Cu Kα (weighted mean of Kα1 and Kα2)
Structure: a crystal structure in the Materials Project, relaxed with GGA-PBE

Atomic structure:
```
Y4Fe34C3
1.0
6.446 0.000 0.000
0.702 6.440 0.000
1.514 1.266 12.762
Y Fe C
4 34 3
Direct
0.153 0.163 0.077 Y
0.160 0.161 0.575 Y
0.840 0.839 0.425 Y
0.847 0.837 0.923 Y
0.000 0.499 0.250 Fe
0.000 0.501 0.750 Fe
0.155 0.646 0.077 Fe
0.156 0.159 0.823 Fe
0.156 0.649 0.577 Fe
0.158 0.157 0.325 Fe
0.212 0.502 0.394 Fe
0.214 0.499 0.893 Fe
0.215 0.785 0.750 Fe
0.216 0.785 0.250 Fe
0.352 0.844 0.423 Fe
0.353 0.842 0.921 Fe
0.404 0.403 0.202 Fe
0.404 0.404 0.701 Fe
0.498 0.000 0.749 Fe
0.499 0.785 0.108 Fe
0.499 0.787 0.606 Fe
0.500 0.500 0.000 Fe
0.500 0.500 0.500 Fe
0.501 0.213 0.394 Fe
0.501 0.215 0.892 Fe
0.502 0.000 0.251 Fe
0.596 0.596 0.299 Fe
0.596 0.597 0.798 Fe
0.647 0.158 0.079 Fe
0.648 0.156 0.577 Fe
0.784 0.215 0.750 Fe
0.785 0.215 0.250 Fe
0.786 0.501 0.107 Fe
0.788 0.498 0.606 Fe
0.842 0.843 0.675 Fe
0.844 0.351 0.423 Fe
0.844 0.841 0.177 Fe
0.845 0.354 0.923 Fe
0.001 0.001 0.251 C
0.500 0.000 0.000 C
0.999 0.999 0.749 C
```

Top 12 peaks for 2θ from 5° to 70°, by angle:
2θ/deg, intensity
30.0, 24.3
36.0, 16.2
36.2, 34.7
37.7, 31.2
41.9, 75.3
42.2, 36.3
42.3, 48.3
42.5, 100.0
43.9, 74.3
47.6, 49.1
48.9, 20.1
62.3, 18.3

=====

- Number 1 is which compound?
  KAl11O17